Record 1
The following is a simulated PXRD pattern of KTiCr2O8. It was derived from a PBE+U-relaxed structure, using Cu Kα, 1.54184 Å.
Kinematic intensities with the Lorentz-polarization factor, no thermal factor.

Cell and atoms:
Lattice parameters (Å, degrees): 9.0949 5.5643 7.7977 90.00 93.27 90.00
Space group C2/m (No. 12)
Symmetry-distinct sites (fractional):
K 0.0000 0.0000 0.0000 [2 per cell]
Ti 0.0000 0.0000 0.5000 [2 per cell]
Cr 0.1397 0.5000 0.2859 [4 per cell]
O 0.0408 0.2460 0.3264 [8 per cell]
O 0.1836 0.5000 0.0866 [4 per cell]
O 0.2059 0.0000 0.5813 [4 per cell]

Most intense lines, 2θ = 10–90°, by angle:
2θ (°), intensity, index
11.4, 58, 0 0 1
19.6, 24, 2 0 0
21.6, 100, 1 1 -1
22.1, 39, 2 0 -1
22.2, 60, 1 1 1
23.2, 69, 2 0 1
29.2, 97, 1 1 -2
30.1, 33, 1 1 2
32.2, 42, 0 2 0
33.7, 70, 3 1 0


Record 2
The following is a simulated PXRD pattern of KTl2Cr2O7. It was derived from a PBE+U-relaxed structure, using Cu Kα, 1.54184 Å.
Kinematic intensities with the Lorentz-polarization factor, no thermal factor.

Cell and atoms:
Lattice parameters (Å, degrees): 6.0043 6.0043 23.8900 90.00 90.00 120.00
Space group R32 (No. 155, hexagonal axes)
Symmetry-distinct sites (fractional):
K 0.0000 0.0000 0.0000 [3 per cell]
Tl 0.0000 0.0000 0.2045 [6 per cell]
Cr 0.0000 0.0000 0.4253 [6 per cell]
O 0.0000 0.0000 0.5000 [3 per cell]
O 0.0205 0.2754 0.4043 [18 per cell]

Most intense lines, 2θ = 10–90°, by angle:
2θ (°), intensity, index
11.1, 55, 0 0 3
18.6, 30, 0 1 2
25.3, 100, 0 1 5
29.8, 68, 1 1 0
31.9, 38, 1 1 3
39.5, 24, 2 0 5
41.6, 21, 1 0 10
45.6, 16, 1 1 9
50.2, 26, 1 2 5
52.8, 22, 3 0 0


Record 3
The following is a simulated PXRD pattern of KTmCr2O8. It was derived from a PBE+U-relaxed structure, using Cu Kα, 1.54184 Å.
Kinematic intensities with the Lorentz-polarization factor, no thermal factor.

Cell and atoms:
Lattice parameters (Å, degrees): 5.7375 5.7375 7.6395 90.00 90.00 120.00
Space group P-3 (No. 147)
Symmetry-distinct sites (fractional):
K 0.0000 0.0000 0.0000 [1 per cell]
Tm 0.0000 0.0000 0.5000 [1 per cell]
Cr 0.3333 0.6667 0.7522 [2 per cell]
O 0.1718 0.3470 0.6807 [6 per cell]
O 0.3333 0.6667 0.9641 [2 per cell]

Most intense lines, 2θ = 10–90°, by angle:
2θ (°), intensity, index
11.6, 28, 0 0 1
17.9, 41, 1 0 0
21.3, 100, 0 1 1
29.5, 64, 0 1 2
31.2, 49, 1 1 0
39.3, 12, 2 -1 2
43.5, 31, 0 2 2
50.0, 19, 1 2 1
54.4, 21, 3 -2 2
58.0, 17, 1 1 4


Record 4
The following is a simulated PXRD pattern of KUCrO6. It was derived from a PBE+U-relaxed structure, using Cu Kα, 1.54184 Å.
Kinematic intensities with the Lorentz-polarization factor, no thermal factor.

Cell and atoms:
Lattice parameters (Å, degrees): 6.8707 8.3789 10.6021 90.00 100.59 90.00
Space group P2_1/c (No. 14)
Symmetry-distinct sites (fractional):
K 0.0234 0.2181 0.3285 [4 per cell]
U 0.4889 0.0171 0.1775 [4 per cell]
Cr 0.3840 0.6422 0.9497 [4 per cell]
O 0.1498 0.6291 0.9501 [4 per cell]
O 0.2219 0.0600 0.1410 [4 per cell]
O 0.2442 0.0264 0.7779 [4 per cell]
O 0.4192 0.7119 0.7897 [4 per cell]
O 0.4642 0.0608 0.3965 [4 per cell]
O 0.4652 0.6565 0.5074 [4 per cell]

Most intense lines, 2θ = 10–90°, by angle:
2θ (°), intensity, index
13.1, 100, 1 0 0
20.0, 13, 1 1 1
21.2, 17, 0 2 0
25.0, 38, 1 2 0
26.4, 22, 2 0 0
27.8, 30, 0 1 3
28.7, 37, 1 1 -3
29.0, 15, 1 2 -2
35.2, 13, 2 1 -3
45.7, 12, 3 2 0


Record 5
The following is a simulated PXRD pattern of KV2CrO7. It was derived from a PBE+U-relaxed structure, using Cu Kα, 1.54184 Å.
Kinematic intensities with the Lorentz-polarization factor, no thermal factor.

Cell and atoms:
Lattice parameters (Å, degrees): 8.3370 4.9381 6.9797 90.00 101.63 90.00
Space group P2/c (No. 13)
Symmetry-distinct sites (fractional):
K 0.0000 0.1007 0.2500 [2 per cell]
V 0.3270 0.4976 0.1228 [4 per cell]
Cr 0.5000 0.0000 0.0000 [2 per cell]
O 0.1460 0.3689 0.6171 [4 per cell]
O 0.2894 0.1778 0.0194 [4 per cell]
O 0.3858 0.3418 0.3869 [4 per cell]
O 0.5000 0.2154 0.7500 [2 per cell]

Most intense lines, 2θ = 10–90°, by angle:
2θ (°), intensity, index
10.8, 100, 1 0 0
28.4, 46, 2 1 0
30.3, 36, 1 0 2
31.9, 55, 1 1 -2
37.7, 26, 3 1 -1
41.1, 14, 1 2 1
48.1, 14, 1 2 2
48.2, 14, 4 1 0
57.0, 17, 0 1 4
65.0, 10, 2 3 -2